No. 1
Computed powder diffraction line list
Compound: EuSiPt
Radiation: copper Kα
Structure: a cell relaxed with PBE
No peak broadening, texture or thermal motion is included.

Atomic structure:
Lattice parameters (Å, degrees): 6.470 6.470 6.470 90.00 90.00 90.00
Space group P2_13 (No. 198)
One atom of each set of equivalent atoms:
Eu: 0.130 0.130 0.130 [4 per cell]
Si: 0.165 0.335 0.665 [4 per cell]
Pt: 0.084 0.584 0.916 [4 per cell]

Largest 12 diffraction maxima, sorted by position, 10 to 80 degrees two-theta:
2theta  intensity
23.82  20
30.90  100
33.94  73
41.89  13
46.55  15
52.95  49
56.93  11
58.85  14
62.58  12
66.19  16
74.82  10
79.83  17

=====

No. 2
Computed powder diffraction line list
Compound: Rb4MgH12Se8O24
Radiation: copper Kα
Structure: a cell relaxed with PBE
No peak broadening, texture or thermal motion is included.

Atomic structure:
Lattice parameters (Å, degrees): 6.362 6.518 21.703 90.00 94.64 90.00
Space group P2 (No. 3)
One atom of each set of equivalent atoms:
Rb: 0.008 0.000 0.373 [2 per cell]
Rb: 0.440 0.491 0.120 [2 per cell]
Mg: 0.000 0.523 0.500 [1 per cell]
H: 0.074 0.166 0.952 [2 per cell]
H: 0.118 0.418 0.393 [2 per cell]
H: 0.238 0.696 0.759 [2 per cell]
H: 0.268 0.791 0.259 [2 per cell]
H: 0.321 0.361 0.439 [2 per cell]
H: 0.363 0.962 0.866 [2 per cell]
Se: 0.001 0.924 0.124 [2 per cell]
Se: 0.021 0.426 0.247 [2 per cell]
Se: 0.384 0.588 0.606 [2 per cell]
Se: 0.487 0.072 0.746 [2 per cell]
O: 0.010 0.447 0.325 [2 per cell]
O: 0.031 0.173 0.083 [2 per cell]
O: 0.101 0.754 0.079 [2 per cell]
O: 0.163 0.381 0.437 [2 per cell]
O: 0.187 0.694 0.556 [2 per cell]
O: 0.216 0.562 0.782 [2 per cell]
O: 0.220 0.582 0.228 [2 per cell]
O: 0.276 0.896 0.899 [2 per cell]
O: 0.280 0.912 0.727 [2 per cell]
O: 0.291 0.932 0.281 [2 per cell]
O: 0.428 0.350 0.578 [2 per cell]
O: 0.470 0.062 0.176 [2 per cell]

Largest 12 diffraction maxima, sorted by position, 10 to 80 degrees two-theta:
2theta  intensity
16.39  12
21.64  45
24.69  23
24.85  100
26.34  65
27.37  27
28.14  24
28.65  16
30.85  12
31.67  11
33.11  23
43.49  14

=====

No. 3
Computed powder diffraction line list
Compound: Sr2CeGeO6
Radiation: copper Kα
Structure: a cell relaxed with PBE
No peak broadening, texture or thermal motion is included.

Atomic structure:
Lattice parameters (Å, degrees): 8.252 8.252 8.252 90.00 90.00 90.00
Space group Fm-3m (No. 225)
One atom of each set of equivalent atoms:
Sr: 0.250 0.250 0.250 [8 per cell]
Ce: 0.000 0.000 0.000 [4 per cell]
Ge: 0.000 0.000 0.500 [4 per cell]
O: 0.000 0.000 0.267 [24 per cell]

Largest 12 diffraction maxima, sorted by position, 10 to 80 degrees two-theta:
2theta  intensity
18.62  5
21.54  5
30.64  100
36.10  5
43.89  33
48.06  3
49.39  2
54.47  40
58.08  1
63.80  20
67.10  1
72.43  18

=====

No. 4
Computed powder diffraction line list
Compound: Mg
Radiation: copper Kα
Structure: a cell relaxed with PBE
No peak broadening, texture or thermal motion is included.

Atomic structure:
Lattice parameters (Å, degrees): 4.506 4.506 4.506 90.00 90.00 90.00
Space group Fm-3m (No. 225)
One atom of each set of equivalent atoms:
Mg: 0.000 0.000 0.000 [4 per cell]

Largest 5 diffraction maxima, sorted by position, 10 to 80 degrees two-theta:
2theta  intensity
34.48  100
40.02  49
57.89  32
69.15  36
72.70  10

=====

No. 5
Computed powder diffraction line list
Compound: HoGaPd
Radiation: copper Kα
Structure: a cell relaxed with PBE
No peak broadening, texture or thermal motion is included.

Atomic structure:
Lattice parameters (Å, degrees): 6.902 4.486 7.640 90.00 90.00 90.00
Space group Pnma (No. 62)
One atom of each set of equivalent atoms:
Ho: 0.016 0.250 0.201 [4 per cell]
Ga: 0.183 0.250 0.578 [4 per cell]
Pd: 0.215 0.750 0.408 [4 per cell]

Largest 12 diffraction maxima, sorted by position, 10 to 80 degrees two-theta:
2theta  intensity
22.99  10
33.43  42
34.84  100
35.04  36
37.65  13
40.21  38
40.74  48
40.97  16
54.38  20
58.74  13
67.01  19
69.62  13

=====

No. 6
Computed powder diffraction line list
Compound: HfMnIr2
Radiation: copper Kα
Structure: a cell relaxed with PBE
No peak broadening, texture or thermal motion is included.

Atomic structure:
Lattice parameters (Å, degrees): 6.358 6.358 6.358 90.00 90.00 90.00
Space group Fm-3m (No. 225)
One atom of each set of equivalent atoms:
Hf: 0.000 0.000 0.000 [4 per cell]
Mn: 0.000 0.000 0.500 [4 per cell]
Ir: 0.250 0.250 0.250 [8 per cell]

Largest 10 diffraction maxima, sorted by position, 10 to 80 degrees two-theta:
2theta  intensity
24.24  9
28.07  7
40.11  100
47.42  5
49.67  2
58.02  17
63.81  2
65.67  3
72.88  35
78.10  2